Theoretical PXRD pattern of La3As2BrO7 for λ = 1.5418 Å (Cu Kα), from DFT lattice parameters and positions (GGA-PBE).
No peak broadening, texture or thermal motion is included.

Principal peaks in the range 10 to 90 degrees two-theta, in order of rising 2θ:
| two_theta | d/Å | I (rel.) | h k l |
| --- | --- | --- | --- |
| 26.61 | 3.350 | 100 | 3 1 1 |
| 29.14 | 3.064 | 57 | 3 2 1 |
| 31.60 | 2.831 | 37 | 0 0 2 |
| 32.23 | 2.777 | 54 | 4 1 1 |
| 36.84 | 2.440 | 34 | 5 2 0 |
| 44.44 | 2.039 | 24 | 4 2 2 |
| 49.30 | 1.848 | 26 | 5 2 2 |
| 51.79 | 1.765 | 24 | 7 1 1 |

Structural model:
```
data_La3As2BrO7
_cell_length_a 13.1393
_cell_length_b 13.1393
_cell_length_c 5.6623
_cell_angle_alpha 90.00
_cell_angle_beta 90.00
_cell_angle_gamma 90.00
_space_group_name_H-M_alt 'P 42/m n m'
_space_group_IT_number 136
_space_group_name_Hall '-P 4n 2n'
loop_
_atom_site_label
_atom_site_type_symbol
_atom_site_fract_x
_atom_site_fract_y
_atom_site_fract_z
La1 La 0.0469 0.3629 0.0000
La2 La 0.2374 0.7626 0.0000
As1 As 0.0280 0.7887 0.5000
Br1 Br 0.1456 0.1456 0.0000
O1 O 0.0000 0.5000 0.2500
O2 O 0.0831 0.2894 0.5000
O3 O 0.0918 0.7187 0.2632
```



Theoretical PXRD pattern of Hf6Ti2Fe for λ = 1.5418 Å (Cu Kα), from DFT lattice parameters and positions (GGA-PBE).
No peak broadening, texture or thermal motion is included.

Principal peaks in the range 10 to 90 degrees two-theta, in order of rising 2θ:
| two_theta | d/Å | I (rel.) | h k l |
| --- | --- | --- | --- |
| 21.59 | 4.116 | 45 | 2 0 0 |
| 32.35 | 2.767 | 36 | 0 2 1 |
| 32.52 | 2.753 | 33 | 1 1 1 |
| 35.98 | 2.496 | 61 | 0 6 0 |
| 37.40 | 2.405 | 100 | 3 3 0 |
| 38.63 | 2.331 | 30 | 0 4 1 |
| 39.23 | 2.297 | 46 | 2 2 1 |
| 44.68 | 2.028 | 33 | 2 4 1 |

Structural model:
```
data_Hf6Ti2Fe
_cell_length_a 8.2314
_cell_length_b 14.9765
_cell_length_c 2.9783
_cell_angle_alpha 90.00
_cell_angle_beta 90.00
_cell_angle_gamma 90.00
_space_group_name_H-M_alt 'C m m m'
_space_group_IT_number 65
_space_group_name_Hall '-C 2 2'
loop_
_atom_site_label
_atom_site_type_symbol
_atom_site_fract_x
_atom_site_fract_y
_atom_site_fract_z
Hf1 Hf 0.1767 0.1638 0.0000
Hf2 Hf 0.1954 0.5000 0.5000
Ti1 Ti 0.0000 0.3249 0.5000
Fe1 Fe 0.0000 0.0000 0.0000
```